Starting from a crystal structure in the Materials Project, relaxed with GGA-PBE, the PXRD pattern of Mg6SnB was simulated for a wavelength of 1.5418 Å.

Largest 10 diffraction maxima, sorted by position, 5° ≤ 2θ ≤ 70°:
6.401 Å, intensity 71; 4.257 Å, intensity 15; 3.385 Å, intensity 60; 2.724 Å, intensity 29; 2.496 Å, intensity 100; 2.427 Å, intensity 24; 2.410 Å, intensity 40; 1.994 Å, intensity 16; 1.601 Å, intensity 16; 1.414 Å, intensity 14

Crystal structure
Cell: 3.988 6.456 6.456 Å, 82.50 90.00 90.00°
Atoms (fractional coordinates):
Mg 0.000 0.000 0.000
Mg 0.000 0.458 0.458
Mg 0.000 0.564 0.915
Mg 0.000 0.915 0.564
Mg 0.500 0.226 0.734
Mg 0.500 0.734 0.226
Sn 0.500 0.232 0.232
B 0.500 0.846 0.846

Starting from a crystal structure in the Materials Project, relaxed with GGA-PBE, the PXRD pattern of MgMoWS4 was simulated for a wavelength of 1.5418 Å.

Largest 10 diffraction maxima, sorted by position, 5° ≤ 2θ ≤ 70°:
5.931 Å, intensity 100; 5.779 Å, intensity 41; 3.113 Å, intensity 32; 2.906 Å, intensity 27; 2.889 Å, intensity 16; 2.640 Å, intensity 53; 2.358 Å, intensity 22; 2.038 Å, intensity 19; 2.007 Å, intensity 30; 1.758 Å, intensity 32

Crystal structure
Cell: 7.076 7.076 7.314 Å, 121.01 121.01 65.24°
Atoms (fractional coordinates):
Mg 0.000 0.000 0.000
Mg 0.748 0.748 0.249
Mo 0.380 0.855 0.621
Mo 0.855 0.380 0.621
W 0.415 0.415 0.625
W 0.416 0.416 0.214
S 0.136 0.594 0.369
S 0.143 0.143 0.426
S 0.146 0.146 0.870
S 0.190 0.595 0.898
S 0.594 0.136 0.369
S 0.595 0.190 0.898
S 0.667 0.667 0.465
S 0.667 0.667 0.875

Starting from a crystal structure in the Materials Project, relaxed with GGA-PBE, the PXRD pattern of MgBi2O4 was simulated for a wavelength of 1.5418 Å.

Largest 10 diffraction maxima, sorted by position, 5° ≤ 2θ ≤ 70°:
5.425 Å, intensity 42; 3.376 Å, intensity 44; 3.325 Å, intensity 44; 2.933 Å, intensity 100; 2.921 Å, intensity 52; 2.904 Å, intensity 75; 2.867 Å, intensity 29; 2.810 Å, intensity 36; 1.707 Å, intensity 37; 1.688 Å, intensity 35

Crystal structure
Cell: 6.756 6.756 22.278 Å, 97.34 97.34 61.72°
Atoms (fractional coordinates):
Mg 0.000 0.000 0.000
Mg 0.124 0.124 0.879
Mg 0.250 0.250 0.758
Mg 0.503 0.503 0.502
Mg 0.720 0.720 0.657
Mg 0.747 0.747 0.242
Mg 0.876 0.876 0.121
Mg 0.971 0.971 0.406
Bi 0.018 0.018 0.597
Bi 0.222 0.222 0.159
Bi 0.235 0.746 0.248
Bi 0.253 0.762 0.753
Bi 0.261 0.261 0.347
Bi 0.372 0.372 0.632
Bi 0.474 0.474 0.906
Bi 0.501 0.997 0.501
Bi 0.501 0.999 0.000
Bi 0.526 0.526 0.091
Bi 0.626 0.626 0.372
Bi 0.746 0.235 0.248
Bi 0.762 0.253 0.753
Bi 0.780 0.780 0.840
Bi 0.997 0.501 0.501
Bi 0.999 0.501 0.000
O 0.024 0.613 0.184
O 0.040 0.040 0.182
O 0.059 0.558 0.691
O 0.090 0.090 0.700
O 0.143 0.725 0.060
O 0.177 0.177 0.059
O 0.186 0.186 0.564
O 0.225 0.658 0.557
O 0.276 0.854 0.941
O 0.299 0.299 0.934
O 0.320 0.809 0.437
O 0.337 0.337 0.449
O 0.391 0.974 0.817
O 0.419 0.419 0.805
O 0.421 0.421 0.309
O 0.479 0.914 0.300
O 0.558 0.059 0.691
O 0.568 0.568 0.692
O 0.574 0.574 0.191
O 0.613 0.024 0.184
O 0.658 0.225 0.557
O 0.682 0.682 0.561
O 0.704 0.704 0.066
O 0.725 0.143 0.060
O 0.809 0.320 0.437
O 0.809 0.809 0.435
O 0.823 0.823 0.941
O 0.854 0.276 0.941
O 0.914 0.479 0.300
O 0.941 0.941 0.312
O 0.962 0.962 0.821
O 0.974 0.391 0.817

Starting from a crystal structure in the Materials Project, relaxed with GGA-PBE, the PXRD pattern of Zn2Sb3O8 was simulated for a wavelength of 1.5418 Å.

Largest 10 diffraction maxima, sorted by position, 5° ≤ 2θ ≤ 70°:
4.822 Å, intensity 98; 3.344 Å, intensity 38; 3.073 Å, intensity 38; 2.894 Å, intensity 33; 2.794 Å, intensity 59; 2.782 Å, intensity 100; 2.697 Å, intensity 38; 2.198 Å, intensity 30; 1.628 Å, intensity 30; 1.558 Å, intensity 26

Crystal structure
Cell: 6.282 6.282 5.623 Å, 111.22 111.22 63.87°
Atoms (fractional coordinates):
Zn 0.172 0.172 0.157
Zn 0.828 0.828 0.843
Sb 0.233 0.767 0.500
Sb 0.500 0.500 0.000
Sb 0.767 0.233 0.500
O 0.115 0.115 0.742
O 0.136 0.649 0.721
O 0.351 0.864 0.279
O 0.382 0.382 0.279
O 0.618 0.618 0.721
O 0.649 0.136 0.721
O 0.864 0.351 0.279
O 0.885 0.885 0.258